For Nb5Ga6Pt, a DFT-relaxed cell (GGA-PBE, Alexandria) gives the theoretical XRD peak list in this record (a wavelength of 1.5418 Å).
Neutral-atom scattering factors, no anomalous dispersion.

Structure:
```
data_Nb5Ga6Pt
_chemical_formula_sum 'Nb10 Ga12 Pt2'
_cell_length_a 5.113
_cell_length_b 8.833
_cell_length_c 9.217
_cell_angle_alpha 90.00
_cell_angle_beta 100.49
_cell_angle_gamma 90.00
_symmetry_space_group_name_H-M 'C 1 2/m 1'
_symmetry_Int_Tables_number 12
loop_
_symmetry_equiv_pos_as_xyz
'x,y,z'
'-x,-y,-z'
'-x,y,-z'
'x,-y,z'
'x+1/2,y+1/2,z'
'-x+1/2,-y+1/2,-z'
'-x+1/2,y+1/2,-z'
'x+1/2,-y+1/2,z'
loop_
_atom_site_label
_atom_site_fract_x
_atom_site_fract_y
_atom_site_fract_z
Nb1 0.000 0.000 0.000
Nb2 0.000 0.167 0.500
Nb3 0.000 0.336 0.000
Ga1 0.248 0.000 0.747
Ga2 0.249 0.168 0.253
Pt1 0.000 0.500 0.500
```

Principal peaks in the range 2θ from 10° to 80°, low angle first:
37.6 deg, d 2.390, I 100, (1 3 1); 39.8 deg, d 2.266, I 28, (0 0 4); 44.3 deg, d 2.046, I 21, (2 0 2); 44.4 deg, d 2.039, I 41, (1 3 -3); 63.0 deg, d 1.475, I 14, (3 3 -1); 77.3 deg, d 1.235, I 16, (0 6 4)

***

For NbGa5Rh4, a DFT-relaxed cell (GGA-PBE, Alexandria) gives the theoretical XRD peak list in this record (a wavelength of 1.5418 Å).
Neutral-atom scattering factors, no anomalous dispersion.

Structure:
```
data_NbGa5Rh4
_chemical_formula_sum 'Nb1 Ga5 Rh4'
_cell_length_a 3.021
_cell_length_b 3.021
_cell_length_c 15.943
_cell_angle_alpha 90.00
_cell_angle_beta 90.00
_cell_angle_gamma 90.00
_symmetry_space_group_name_H-M 'P 4/m m m'
_symmetry_Int_Tables_number 123
_symmetry_space_group_name_Hall '-P 4 2'
loop_
_atom_site_label
_atom_site_fract_x
_atom_site_fract_y
_atom_site_fract_z
Nb1 0.000 0.000 0.000
Ga1 0.500 0.500 0.117
Ga2 0.500 0.500 0.307
Ga3 0.500 0.500 0.500
Rh1 0.000 0.000 0.212
Rh2 0.000 0.000 0.404
```

Principal peaks in the range 2θ from 10° to 80°, low angle first:
41.2 deg, d 2.193, I 100, (1 0 5); 42.3 deg, d 2.136, I 51, (1 1 0); 57.8 deg, d 1.594, I 7, (0 0 10); 61.4 deg, d 1.510, I 16, (2 0 0); 74.2 deg, d 1.278, I 13, (1 1 10); 76.6 deg, d 1.244, I 31, (2 1 5)

***

For Nb2GaRh3, a DFT-relaxed cell (GGA-PBE, Alexandria) gives the theoretical XRD peak list in this record (a wavelength of 1.5418 Å).
Neutral-atom scattering factors, no anomalous dispersion.

Structure:
```
data_Nb2GaRh3
_chemical_formula_sum 'Nb4 Ga2 Rh6'
_cell_length_a 4.104
_cell_length_b 12.210
_cell_length_c 3.734
_cell_angle_alpha 90.00
_cell_angle_beta 90.00
_cell_angle_gamma 90.00
_symmetry_space_group_name_H-M 'P m m n'
_symmetry_Int_Tables_number 59
loop_
_symmetry_equiv_pos_as_xyz
'x,y,z'
'-x,-y,-z'
'-x+1/2,-y+1/2,z'
'x+1/2,y+1/2,-z'
'x+1/2,-y,-z'
'-x+1/2,y,z'
'-x,y+1/2,-z'
'x,-y+1/2,z'
loop_
_atom_site_label
_atom_site_fract_x
_atom_site_fract_y
_atom_site_fract_z
Nb1 0.250 0.085 0.002
Ga1 0.250 0.750 0.000
Rh1 0.250 0.250 0.503
Rh2 0.250 0.583 0.501
```

Principal peaks in the range 2θ from 10° to 80°, low angle first:
39.4 deg, d 2.285, I 100, (1 3 1); 44.1 deg, d 2.052, I 18, (2 0 0); 44.5 deg, d 2.035, I 18, (0 6 0); 48.8 deg, d 1.867, I 13, (0 0 2); 78.0 deg, d 1.225, I 13, (3 3 1); 78.6 deg, d 1.218, I 13, (1 9 1)